No. 1
RbBeB2: simulated powder X-ray diffraction pattern (Cu Ka), based on a DFT-relaxed cell (PBE, Alexandria).

Atomic structure:
abc: 3.1247 5.2371 9.9262
angles: 90.00 91.18 90.00
Atoms (fractional coordinates):
1 Rb 0.2314 0.2500 0.2191
2 Rb 0.7686 0.7500 0.7809
3 Be 0.2548 0.2500 0.5692
4 Be 0.7452 0.7500 0.4308
5 B 0.2503 0.5839 0.5056
6 B 0.2503 0.9161 0.5056
7 B 0.7497 0.0839 0.4944
8 B 0.7497 0.4161 0.4944

Most intense lines, 10° ≤ 2θ ≤ 90°, in order of falling intensity:
2θ (°)	d [Å]	intensity
19.16	4.632	1000
17.88	4.962	258
33.40	2.683	258
32.00	2.797	247
37.84	2.378	196
29.80	2.998	172
38.89	2.316	168
34.24	2.619	162


No. 2
RbBe2B: simulated powder X-ray diffraction pattern (Cu Ka), based on a DFT-relaxed cell (PBE, Alexandria).

Atomic structure:
abc: 5.9341 5.9341 5.9341
angles: 60.00 60.00 60.00
Atoms (fractional coordinates):
1 Rb 0.1250 0.1250 0.1250
2 Rb 0.8750 0.8750 0.8750
3 Be 0.0000 0.5000 0.5000
4 Be 0.5000 0.0000 0.5000
5 Be 0.5000 0.5000 0.0000
6 Be 0.5000 0.5000 0.5000
7 B 0.3750 0.3750 0.3750
8 B 0.6250 0.6250 0.6250

Most intense lines, 10° ≤ 2θ ≤ 90°, in order of falling intensity:
2θ (°)	d [Å]	intensity
30.12	2.967	1000
35.48	2.530	536
18.31	4.845	535
53.49	1.713	368
86.86	1.121	190
57.02	1.615	180
71.04	1.327	157
47.21	1.925	156